# KCNO
Calculated X-ray diffraction stick pattern, Cu Kα X-rays. Input: a DFT-relaxed cell (GGA-PBE, Alexandria).
No peak broadening, texture or thermal motion is included.

Structural model:
Cell lengths 6.0956, 5.6535, 5.5499 Å; angles 65.92, 57.86, 56.22 degrees
Positions (direct):
K 0.2500 0.2500 0.2500
K 0.7500 0.7500 0.7500
C 0.0000 0.0000 0.0000
C 0.5000 0.5000 0.5000
N 0.1427 0.1427 0.8573
N 0.8573 0.8573 0.1427
O 0.3615 0.6385 0.3615
O 0.6385 0.3615 0.6385

Top 12 peaks for 5 to 70 degrees two-theta, most intense first:
| 2θ/deg | d [Å] | I_rel |
| --- | --- | --- |
| 32.31 | 2.770 | 100 |
| 32.74 | 2.735 | 88 |
| 29.32 | 3.046 | 65 |
| 38.82 | 2.320 | 35 |
| 34.85 | 2.575 | 20 |
| 35.64 | 2.519 | 18 |
| 41.25 | 2.189 | 17 |
| 51.05 | 1.789 | 16 |
| 47.64 | 1.909 | 16 |
| 46.70 | 1.945 | 15 |
| 66.74 | 1.401 | 13 |
| 59.96 | 1.543 | 13 |